# CaCu2Cl
Computed X-ray diffraction stick pattern, a wavelength of 1.5418 Å. Input: a DFT-relaxed cell (PBE, Alexandria).

Top 10 peaks for 10° ≤ 2θ ≤ 90°, in order of rising 2θ:
2theta	I/Imax	hkl
12.44	100	0 0 1
25.03	68	0 0 2
37.93	20	0 0 3
38.20	69	1 1 -1
38.48	69	1 1 1
44.20	21	1 1 -2
44.69	19	1 1 2
51.93	16	2 0 0
52.07	16	0 2 0
53.71	16	1 1 3

abc: 3.5218 3.5130 7.1171
angles: 90.00 90.91 90.00
Space group Pm (No. 6)
Symmetry-distinct sites (fractional):
Ca1 0.0000 0.0000 0.0000
Cu1 0.4897 0.0000 0.6688
Cu2 0.9896 0.5000 0.6686
Cl1 0.5060 0.5000 0.1830

=====

# KCa3Cu4Cl12
Computed X-ray diffraction stick pattern, a wavelength of 1.5418 Å. Input: a DFT-relaxed cell (PBE, Alexandria).

Top 10 peaks for 10° ≤ 2θ ≤ 90°, in order of rising 2θ:
2theta	I/Imax	hkl
21.23	54	2 1 1
22.50	100	2 0 2
25.57	46	0 0 3
25.91	23	1 2 2
31.72	24	3 1 2
36.70	18	2 3 2
37.50	20	0 2 4
41.16	21	5 0 2
46.97	33	5 2 0
56.12	22	0 7 2

abc: 13.9496 13.9496 10.4512
angles: 90.00 90.00 120.00
Space group R32 (No. 155, hexagonal axes)
Symmetry-distinct sites (fractional):
K1 0.0000 0.0000 0.0000
Ca1 0.0000 0.5610 0.0000
Cu1 0.0000 0.0000 0.5000
Cu2 0.0000 0.4261 0.5000
Cl1 0.0000 0.5925 0.5000
Cl2 0.0000 0.8407 0.5000
Cl3 0.0433 0.2058 0.1885

=====

# CaSmCuClO3
Computed X-ray diffraction stick pattern, a wavelength of 1.5418 Å. Input: a DFT-relaxed cell (PBE, Alexandria).

Top 10 peaks for 10° ≤ 2θ ≤ 90°, in order of rising 2θ:
2theta	I/Imax	hkl
26.23	40	1 0 2
30.10	83	1 0 3
32.33	69	1 1 0
34.85	100	1 0 4
42.01	15	1 1 4
46.38	47	2 0 0
51.99	17	1 1 6
56.28	29	2 1 3
59.30	40	2 1 4
67.68	14	2 2 0

abc: 3.9157 3.9157 13.6636
angles: 90.00 90.00 90.00
Space group P4/nmm (No. 129, origin choice 2)
Symmetry-distinct sites (fractional):
Ca1 0.2500 0.2500 0.1634
Sm1 0.2500 0.2500 0.4116
Cu1 0.2500 0.2500 0.7213
Cl1 0.2500 0.2500 0.9236
O1 0.2500 0.7500 0.2760
O2 0.2500 0.7500 0.5000

=====

# Ca2CuS2Cl2
Computed X-ray diffraction stick pattern, a wavelength of 1.5418 Å. Input: a DFT-relaxed cell (PBE, Alexandria).

Top 10 peaks for 10° ≤ 2θ ≤ 90°, in order of rising 2θ:
2theta	I/Imax	hkl
15.82	31	1 0 0
23.07	26	1 0 1
31.95	100	2 0 0
33.74	43	0 0 2
45.82	33	2 2 0
47.15	60	2 0 2
58.10	30	2 2 2
75.97	13	4 2 0
76.97	13	4 0 2
85.76	19	4 2 2

abc: 5.6016 5.6016 5.3128
angles: 90.00 90.00 90.00
Space group P4/mmm (No. 123)
Symmetry-distinct sites (fractional):
Ca1 0.0000 0.5000 0.0000
Cu1 0.0000 0.0000 0.5000
S1 0.0000 0.0000 0.0000
S2 0.5000 0.5000 0.0000
Cl1 0.0000 0.5000 0.5000